# 1
Simulated XRD peak list of Ba2Dy2Co4O11 for Cu Kα X-rays, from DFT lattice parameters and positions (PBE+U).
Intensities are scaled so that the largest is 100.

Main lines, by angle (2θ = 10–90°):
2theta  I (rel.)
32.37  91
32.58  100
32.70  97
40.15  41
46.26  30
46.61  27
47.21  23
57.79  38
58.02  33
58.41  41

Structural model:
```
Ba2Dy2Co4O11
1.0
3.925 0.000 0.000
0.000 7.701 0.000
0.000 0.000 7.794
Ba Dy Co O
2 2 4 11
Direct
0.000 0.000 0.249
0.000 0.000 0.751
0.000 0.500 0.229
0.000 0.500 0.771
0.500 0.255 0.000
0.500 0.260 0.500
0.500 0.740 0.500
0.500 0.745 0.000
0.000 0.280 0.000
0.000 0.318 0.500
0.000 0.682 0.500
0.000 0.720 0.000
0.500 0.000 0.000
0.500 0.000 0.500
0.500 0.303 0.269
0.500 0.303 0.731
0.500 0.500 0.000
0.500 0.697 0.269
0.500 0.697 0.731
```

***

# 2
Simulated XRD peak list of V9PO25 for Cu Kα X-rays, from DFT lattice parameters and positions (PBE+U).
Intensities are scaled so that the largest is 100.

Main lines, by angle (2θ = 10–90°):
2theta  I (rel.)
18.52  29
25.22  51
26.31  100
27.87  22
32.59  36
45.61  32
50.24  19
55.03  21
57.59  14
70.18  16

Structural model:
```
V9PO25
1.0
-7.573 7.573 1.816
7.573 -7.573 1.816
7.573 7.573 -1.816
V P O
9 1 25
Direct
0.000 0.000 0.000
0.101 0.653 0.782
0.111 0.212 0.327
0.215 0.889 0.101
0.347 0.129 0.448
0.680 0.899 0.552
0.788 0.115 0.899
0.871 0.320 0.218
0.885 0.785 0.673
0.250 0.750 0.500
0.012 0.711 0.738
0.054 0.114 0.169
0.092 0.570 0.620
0.115 0.946 0.060
0.149 0.346 0.509
0.188 0.791 0.960
0.209 0.169 0.397
0.258 0.614 0.858
0.289 0.027 0.301
0.359 0.851 0.197
0.386 0.244 0.644
0.430 0.050 0.522
0.500 0.500 0.000
0.528 0.908 0.478
0.600 0.742 0.356
0.654 0.163 0.803
0.726 0.988 0.699
0.756 0.400 0.142
0.772 0.812 0.603
0.831 0.228 0.040
0.837 0.641 0.491
0.886 0.055 0.940
0.945 0.885 0.831
0.950 0.472 0.380
0.973 0.274 0.262
```

***

# 3
Simulated XRD peak list of LiCrPH2O5 for Cu Kα X-rays, from DFT lattice parameters and positions (PBE+U).
Intensities are scaled so that the largest is 100.

Main lines, by angle (2θ = 10–90°):
2theta  I (rel.)
13.58  100
20.60  32
27.56  38
29.13  70
32.88  35
35.58  13
37.07  13
38.01  12
43.64  12
49.61  15

Structural model:
```
LiCrPH2O5
1.0
10.546 0.000 0.000
0.000 8.297 0.000
0.000 0.000 5.046
Li Cr P H O
4 4 4 8 20
Direct
0.193 0.192 0.000
0.307 0.692 0.500
0.693 0.308 0.000
0.807 0.808 0.500
0.102 0.394 0.551
0.398 0.894 0.051
0.602 0.106 0.551
0.898 0.606 0.051
0.189 0.585 0.979
0.311 0.085 0.479
0.689 0.915 0.979
0.811 0.415 0.479
0.004 0.032 0.119
0.050 0.826 0.453
0.450 0.326 0.953
0.496 0.532 0.619
0.504 0.468 0.119
0.550 0.674 0.453
0.950 0.174 0.953
0.996 0.968 0.619
0.018 0.092 0.952
0.062 0.626 0.826
0.170 0.592 0.281
0.203 0.199 0.389
0.219 0.411 0.876
0.281 0.911 0.376
0.297 0.699 0.889
0.330 0.092 0.781
0.438 0.126 0.326
0.482 0.592 0.452
0.518 0.408 0.952
0.562 0.874 0.826
0.670 0.908 0.281
0.703 0.301 0.389
0.719 0.089 0.876
0.781 0.589 0.376
0.797 0.801 0.889
0.830 0.408 0.781
0.938 0.374 0.326
0.982 0.908 0.452
```

***

# 4
Simulated XRD peak list of NdSmFe4O12 for Cu Kα X-rays, from DFT lattice parameters and positions (PBE+U).
Intensities are scaled so that the largest is 100.

Main lines, by angle (2θ = 10–90°):
2theta  I (rel.)
20.22  94
33.32  100
39.29  51
41.11  11
47.81  28
47.89  14
52.44  22
59.54  38
69.94  16
79.80  11

Structural model:
```
NdSmFe4O12
1.0
3.799 -3.802 0.000
3.799 3.802 0.000
0.000 0.000 7.617
Nd Sm Fe O
1 1 4 12
Direct
0.000 0.000 0.000
0.500 0.500 0.500
0.000 0.500 0.250
0.000 0.500 0.750
0.500 0.000 0.250
0.500 0.000 0.750
0.000 0.500 0.000
0.000 0.500 0.500
0.241 0.759 0.250
0.241 0.759 0.750
0.261 0.261 0.252
0.261 0.261 0.748
0.500 0.000 0.000
0.500 0.000 0.500
0.739 0.739 0.252
0.739 0.739 0.748
0.759 0.241 0.250
0.759 0.241 0.750
```

***

# 5
Simulated XRD peak list of P4WO12 for Cu Kα X-rays, from DFT lattice parameters and positions (PBE+U).
Intensities are scaled so that the largest is 100.

Main lines, by angle (2θ = 10–90°):
2theta  I (rel.)
12.28  79
12.76  100
17.74  23
21.12  35
23.29  58
24.69  32
25.66  26
30.83  33
32.39  20
34.48  21

Structural model:
```
P4WO12
1.0
5.341 0.000 0.000
0.000 13.874 0.000
-1.000 0.000 7.210
P W O
8 2 24
Direct
0.008 0.000 0.057
0.031 0.220 0.061
0.135 0.795 0.591
0.216 0.447 0.606
0.784 0.947 0.394
0.865 0.295 0.409
0.969 0.720 0.939
0.992 0.500 0.943
0.489 0.859 0.996
0.511 0.359 0.004
0.009 0.985 0.272
0.035 0.231 0.277
0.048 0.611 0.983
0.049 0.387 0.448
0.169 0.782 0.048
0.186 0.739 0.431
0.201 0.445 0.058
0.273 0.982 0.009
0.296 0.235 0.012
0.350 0.527 0.531
0.358 0.838 0.724
0.373 0.374 0.733
0.627 0.874 0.267
0.642 0.338 0.276
0.650 0.027 0.469
0.704 0.735 0.988
0.727 0.482 0.991
0.799 0.945 0.942
0.814 0.239 0.569
0.831 0.282 0.952
0.951 0.887 0.552
0.952 0.111 0.017
0.965 0.731 0.723
0.991 0.485 0.728
```

***

# 6
Simulated XRD peak list of Li4Cu2Ni3Sb3O16 for Cu Kα X-rays, from DFT lattice parameters and positions (PBE+U).
Intensities are scaled so that the largest is 100.

Main lines, by angle (2θ = 10–90°):
2theta  I (rel.)
18.37  100
18.87  40
19.12  46
19.50  37
34.32  41
35.05  36
35.37  29
35.77  55
44.15  30
61.18  30

Structural model:
```
Li4Cu2Ni3Sb3O16
1.0
5.261 -3.015 0.000
5.261 3.015 0.000
-0.415 0.000 9.660
Li Cu Ni Sb O
4 2 3 3 16
Direct
0.000 0.000 0.000
0.013 0.013 0.518
0.317 0.317 0.618
0.658 0.658 0.101
0.312 0.312 0.009
0.635 0.635 0.529
0.158 0.158 0.288
0.324 0.813 0.791
0.813 0.324 0.791
0.158 0.651 0.289
0.651 0.158 0.289
0.813 0.813 0.790
0.024 0.478 0.163
0.145 0.655 0.904
0.150 0.150 0.896
0.313 0.818 0.406
0.327 0.327 0.404
0.475 0.475 0.169
0.478 0.024 0.163
0.501 0.501 0.670
0.505 0.943 0.658
0.655 0.145 0.904
0.655 0.655 0.899
0.818 0.313 0.406
0.834 0.834 0.401
0.943 0.505 0.658
0.981 0.981 0.698
0.985 0.985 0.185
```

***

# 7
Simulated XRD peak list of Li9Mn2Co5O16 for Cu Kα X-rays, from DFT lattice parameters and positions (PBE+U).
Intensities are scaled so that the largest is 100.

Main lines, by angle (2θ = 10–90°):
2theta  I (rel.)
18.24  100
35.69  16
36.12  26
43.23  27
43.62  55
47.62  9
57.35  10
62.85  14
63.35  14
64.16  9

Structural model:
```
Li9Mn2Co5O16
1.0
10.211 0.000 0.000
0.000 2.904 0.000
-3.417 0.000 9.726
Li Mn Co O
9 2 5 16
Direct
0.000 0.000 0.000
0.001 0.500 0.769
0.245 0.500 0.008
0.256 0.500 0.526
0.500 0.000 0.017
0.503 0.000 0.521
0.741 0.500 0.002
0.747 0.500 0.521
0.991 0.000 0.529
0.242 0.000 0.770
0.999 0.500 0.267
0.255 0.000 0.267
0.498 0.500 0.266
0.503 0.500 0.769
0.743 0.000 0.266
0.765 0.000 0.757
0.109 0.000 0.376
0.123 0.500 0.157
0.135 0.000 0.883
0.139 0.500 0.655
0.360 0.500 0.876
0.368 0.500 0.386
0.374 0.000 0.658
0.379 0.000 0.151
0.612 0.000 0.882
0.618 0.000 0.381
0.626 0.500 0.148
0.629 0.500 0.656
0.861 0.500 0.881
0.864 0.000 0.642
0.877 0.500 0.376
0.889 0.000 0.157
```